For Gd2Mn17C3, a structure optimized by DFT (PBE) gives the computed powder X-ray diffraction pattern in this record (copper Kα).
Lines closer than 0.1° are merged.

Structure:
```
data_Gd2Mn17C3
_chemical_formula_sum 'Gd6 Mn51 C9'
_cell_length_a 8.6030
_cell_length_b 8.6030
_cell_length_c 12.4951
_cell_angle_alpha 90.00
_cell_angle_beta 90.00
_cell_angle_gamma 120.00
_symmetry_space_group_name_H-M 'R -3 m'
_symmetry_Int_Tables_number 166
_symmetry_space_group_name_Hall '-R 3 2"'
loop_
_atom_site_label
_atom_site_fract_x
_atom_site_fract_y
_atom_site_fract_z
Gd1 0.0000 0.0000 0.1502
Mn1 0.0000 0.0000 0.4064
Mn2 0.0000 0.2790 0.5000
Mn3 0.0000 0.5000 0.0000
Mn4 0.0192 0.5096 0.3480
C1 0.0000 0.5000 0.5000
```

Top 10 peaks for 10 to 90 degrees two-theta, by angle:
index	2theta	I (rel.)
1 1 3	29.86	46
2 1 1	32.60	23
3 0 0	36.17	40
0 2 4	37.58	38
2 2 0	42.01	78
3 0 3	42.37	100
2 1 4	43.26	26
0 0 6	43.45	33
1 4 3	61.20	24
2 1 7	61.51	18